Structure and computed X-ray powder pattern of CeFe2SbO6 (DFT lattice parameters and positions (PBE+U); CuKα).

Atomic structure:
a b c (Å): 5.6036 5.6681 9.7894
angles (deg): 90.00 124.53 90.00
Sites, in units of the cell vectors:
Ce1 0.0000 0.0000 0.0000
Ce2 0.0000 0.5000 0.5000
Fe1 0.2367 0.0223 0.7235
Fe2 0.2367 0.4777 0.2235
Fe3 0.7633 0.5223 0.7765
Fe4 0.7633 0.9777 0.2765
Sb1 0.5000 0.0000 0.5000
Sb2 0.5000 0.5000 0.0000
O1 0.1468 0.1499 0.4646
O2 0.1468 0.3501 0.9646
O3 0.2465 0.7052 0.3921
O4 0.2465 0.7948 0.8921
O5 0.4075 0.1271 0.2780
O6 0.4075 0.3729 0.7780
O7 0.5925 0.6271 0.2220
O8 0.5925 0.8729 0.7220
O9 0.7535 0.2052 0.1079
O10 0.7535 0.2948 0.6079
O11 0.8532 0.6499 0.0354
O12 0.8532 0.8501 0.5354

Peak list (8 most intense, 10° ≤ 2θ ≤ 90°, by angle)
- (1 1 -1), 22.31°, d 3.985, I = 27
- (1 1 1), 31.51°, d 2.839, I = 100
- (1 1 -3), 31.64°, d 2.828, I = 62
- (2 0 -2), 31.94°, d 2.802, I = 31
- (2 2 -2), 45.53°, d 1.992, I = 29
- (0 2 4), 55.98°, d 1.643, I = 20
- (1 3 -3), 56.22°, d 1.636, I = 31
- (3 1 -1), 56.54°, d 1.628, I = 17